No. 1
Starting from a structure optimized by DFT (PBE), the powder diffraction line list of BaNa3Pb3 was calculated for Cu Kα, 1.54184 Å.
Kinematic intensities with the Lorentz-polarization factor, no thermal factor.

Crystal structure
a = 11.3478 Å, b = 11.3478 Å, c = 4.8016 Å
α = 90.00°, β = 90.00°, γ = 120.00°
Space group P6_3/m (No. 176)
Symmetry-distinct sites (fractional):
1 Ba 0.3333 0.6667 0.2500
2 Na 0.0699 0.3019 0.7500
3 Pb 0.0661 0.5979 0.7500

Main lines, in order of rising 2θ (10° ≤ 2θ ≤ 90°):
hkl 2 0 0, 2θ = 18.05°, I 38.3
hkl 1 2 0, 2θ = 23.96°, I 27.0
hkl 1 1 1, 2θ = 24.28°, I 24.0
hkl 2 0 1, 2θ = 25.94°, I 13.8
hkl 1 2 1, 2θ = 30.42°, I 100.0
hkl 3 0 1, 2θ = 33.10°, I 16.9
hkl 0 0 2, 2θ = 37.46°, I 16.2
hkl 3 1 1, 2θ = 37.96°, I 27.6
hkl 4 1 0, 2θ = 42.14°, I 19.8
hkl 1 4 1, 2θ = 46.37°, I 16.5
hkl 4 1 2, 2θ = 57.63°, I 16.1
hkl 1 2 3, 2θ = 63.28°, I 18.0

No. 2
Starting from a structure optimized by DFT (PBE), the powder diffraction line list of SmHo3Al8 was calculated for Cu Kα, 1.54184 Å.
Kinematic intensities with the Lorentz-polarization factor, no thermal factor.

Crystal structure
a = 5.5587 Å, b = 5.5587 Å, c = 9.1318 Å
α = 90.00°, β = 90.00°, γ = 120.00°
Space group P3m1 (No. 156)
Symmetry-distinct sites (fractional):
1 Sm 0.0000 0.0000 0.0000
2 Ho 0.0000 0.0000 0.3643
3 Ho 0.6667 0.3333 0.4990
4 Ho 0.6667 0.3333 0.8632
5 Al 0.1622 0.3243 0.6804
6 Al 0.3333 0.6667 0.4330
7 Al 0.3333 0.6667 0.9310
8 Al 0.5045 0.0091 0.1842

Main lines, in order of rising 2θ (10° ≤ 2θ ≤ 90°):
hkl 1 0 0, 2θ = 18.43°, I 41.2
hkl 0 0 2, 2θ = 19.44°, I 19.9
hkl 1 0 1, 2θ = 20.86°, I 33.8
hkl 1 0 2, 2θ = 26.91°, I 18.3
hkl 1 1 0, 2θ = 32.21°, I 75.0
hkl 1 0 3, 2θ = 34.87°, I 100.0
hkl 1 1 2, 2θ = 37.90°, I 66.1
hkl 0 2 1, 2θ = 38.69°, I 30.4
hkl 0 2 3, 2θ = 48.20°, I 18.5
hkl 2 1 3, 2θ = 59.16°, I 42.3
hkl 0 2 5, 2θ = 63.99°, I 18.8
hkl 1 3 3, 2θ = 78.17°, I 19.4

No. 3
Starting from a structure optimized by DFT (PBE), the powder diffraction line list of CdGaFe was calculated for Cu Kα, 1.54184 Å.
Kinematic intensities with the Lorentz-polarization factor, no thermal factor.

Crystal structure
a = 2.7176 Å, b = 4.1427 Å, c = 4.7661 Å
α = 90.00°, β = 90.00°, γ = 90.00°
Space group Pmmm (No. 47)
Symmetry-distinct sites (fractional):
1 Cd 0.0000 0.0000 0.0000
2 Ga 0.0000 0.5000 0.5000
3 Fe 0.5000 0.0000 0.5000

Main lines, in order of rising 2θ (10° ≤ 2θ ≤ 90°):
hkl 0 1 0, 2θ = 21.45°, I 28.9
hkl 0 1 1, 2θ = 28.55°, I 45.4
hkl 1 0 0, 2θ = 32.96°, I 15.6
hkl 0 0 2, 2θ = 37.75°, I 39.6
hkl 1 0 1, 2θ = 38.12°, I 12.6
hkl 0 2 0, 2θ = 43.70°, I 25.8
hkl 1 1 1, 2θ = 44.15°, I 100.0
hkl 1 0 2, 2θ = 50.97°, I 9.0
hkl 0 2 2, 2θ = 59.09°, I 20.1
hkl 1 1 3, 2θ = 72.61°, I 21.1
hkl 1 3 1, 2θ = 80.60°, I 19.7
hkl 2 2 0, 2θ = 85.48°, I 9.0

No. 4
Starting from a structure optimized by DFT (PBE), the powder diffraction line list of LaPr2Tl4 was calculated for Cu Kα, 1.54184 Å.
Kinematic intensities with the Lorentz-polarization factor, no thermal factor.

Crystal structure
a = 5.4155 Å, b = 5.4155 Å, c = 7.9187 Å
α = 90.00°, β = 90.00°, γ = 90.00°
Space group P4/mmm (No. 123)
Symmetry-distinct sites (fractional):
1 La 0.0000 0.0000 0.0000
2 Pr 0.0000 0.0000 0.5000
3 Pr 0.5000 0.5000 0.0000
4 Tl 0.0000 0.5000 0.2696

Main lines, in order of rising 2θ (10° ≤ 2θ ≤ 90°):
hkl 1 1 0, 2θ = 23.23°, I 11.3
hkl 1 1 1, 2θ = 25.84°, I 7.0
hkl 1 1 2, 2θ = 32.53°, I 100.0
hkl 2 0 0, 2θ = 33.08°, I 49.8
hkl 0 0 4, 2θ = 45.84°, I 8.6
hkl 2 2 0, 2θ = 47.49°, I 18.3
hkl 2 0 4, 2θ = 57.68°, I 17.5
hkl 3 1 2, 2θ = 58.74°, I 37.6
hkl 2 2 4, 2θ = 68.13°, I 10.7
hkl 1 1 6, 2θ = 76.32°, I 6.5
hkl 3 3 2, 2θ = 78.78°, I 8.1
hkl 4 2 0, 2θ = 79.08°, I 8.3